Simulated X-ray diffraction stick pattern
Compound: Al2Te5
Radiation: Cu Kα (weighted mean of Kα1 and Kα2)
Structure: a structure optimized by DFT (GGA-PBE)
Intensities are scaled so that the largest is 1000.

Main lines, low angle first (10 to 90 degrees two-theta):
2θ = 11.85°, I 393
2θ = 23.68°, I 995
2θ = 23.82°, I 359
2θ = 27.85°, I 1000
2θ = 27.99°, I 771
2θ = 33.33°, I 256
2θ = 43.14°, I 263
2θ = 44.22°, I 323
2θ = 44.49°, I 473
2θ = 49.80°, I 297

Structure:
Lattice parameters (Å, degrees): 7.798 7.798 10.553 127.44 127.44 31.20
Fractional coordinates of all 7 atoms:
Al  0.134  0.134  0.401
Al  0.866  0.866  0.599
Te  0.074  0.074  0.874
Te  0.312  0.312  0.400
Te  0.500  0.500  0.000
Te  0.688  0.688  0.600
Te  0.926  0.926  0.126